The following is a calculated powder diffractogram of Li2Cr2P4H3O16. It was derived from a DFT-relaxed cell (GGA+U, Alexandria), using Cu Kα, 1.54184 Å.

Structure:
```
data_Li2Cr2P4H3O16
_space_group_name_H-M_alt 'P 1'
_space_group_IT_number 1
_space_group_name_Hall 'P 1'
_cell_length_a 4.9102
_cell_length_b 7.4752
_cell_length_c 8.0380
_cell_angle_alpha 89.90
_cell_angle_beta 88.75
_cell_angle_gamma 76.94
loop_
_atom_site_label
_atom_site_type_symbol
_atom_site_fract_x
_atom_site_fract_y
_atom_site_fract_z
_atom_site_occupancy
Li1 Li 0.0000 0.0000 0.0000 1
Li2 Li 0.2332 0.6872 0.2656 1
Cr1 Cr 0.1251 0.8422 0.6359 1
Cr2 Cr 0.6256 0.3452 0.1335 1
P1 P 0.0078 0.6061 0.9783 1
P2 P 0.2399 0.0886 0.2940 1
P3 P 0.5070 0.0974 0.7920 1
P4 P 0.7408 0.5882 0.4780 1
H1 H 0.0316 0.3719 0.6247 1
H2 H 0.5382 0.3362 0.6503 1
H3 H 0.5804 0.8678 0.1487 1
O1 O 0.0880 0.6529 0.7995 1
O2 O 0.1595 0.0281 0.4656 1
O3 O 0.2668 0.9960 0.8113 1
O4 O 0.2749 0.5128 0.0753 1
O5 O 0.3761 0.9049 0.1924 1
O6 O 0.3826 0.2812 0.6920 1
O7 O 0.4371 0.2193 0.3029 1
O8 O 0.4990 0.7010 0.5808 1
O9 O 0.6029 0.1501 0.9628 1
O10 O 0.6393 0.5384 0.3082 1
O11 O 0.7521 0.9851 0.6915 1
O12 O 0.8232 0.4644 0.9681 1
O13 O 0.8440 0.3989 0.5733 1
O14 O 0.8769 0.7816 0.0769 1
O15 O 0.9810 0.1720 0.1902 1
O16 O 0.9829 0.6885 0.4598 1
```

Largest 10 diffraction maxima, in order of falling intensity, 5° ≤ 2θ ≤ 70°:
24.47°, rel. 100
16.42°, rel. 84
25.32°, rel. 61
29.57°, rel. 56
29.33°, rel. 51
22.87°, rel. 34
33.26°, rel. 31
22.50°, rel. 26
33.15°, rel. 26
28.70°, rel. 21